Simulated powder diffractogram of MnPd2Pt9 for Cu Kα (λ = 1.5418 Å), from the PBE geometry in Alexandria.
Intensities are scaled so that the largest is 100.

Structure:
```
12
Lattice="3.942 0.000 0.000 0.000 3.942 0.000 0.000 0.000 11.920" Properties=species:S:1:pos:R:3 pbc="T T T"
Mn 0.000 0.000 0.000
Pd 0.000 0.000 3.968
Pd 0.000 0.000 7.952
Pt 0.000 1.971 1.934
Pt 0.000 1.971 5.960
Pt 0.000 1.971 9.986
Pt 1.971 0.000 1.934
Pt 1.971 0.000 5.960
Pt 1.971 0.000 9.986
Pt 1.971 1.971 0.000
Pt 1.971 1.971 3.936
Pt 1.971 1.971 7.984
```

Main lines, sorted by position (2θ from 10° to 90°):
2theta  I/Imax
22.4  2
22.6  5
32.0  4
39.5  100
45.7  16
46.1  33
51.8  2
66.9  21
67.2  11
80.2  13
80.8  26
85.0  11

Simulated powder diffractogram of MnPd3Pt5 for Cu Kα (λ = 1.5418 Å), from the PBE geometry in Alexandria.
Intensities are scaled so that the largest is 100.

Structure:
```
18
Lattice="-3.447 3.447 6.264 3.447 -3.447 6.264 3.447 3.447 -6.264" Properties=species:S:1:pos:R:3 pbc="T T T"
Mn 3.447 0.000 3.132
Mn 0.000 3.447 3.132
Pd 4.300 0.854 0.000
Pd 0.000 0.000 3.132
Pd 0.854 2.593 0.000
Pd 2.593 0.854 6.264
Pd 0.000 0.000 9.397
Pd -0.854 2.593 6.264
Pt 0.000 0.000 0.000
Pt 2.069 1.377 -1.843
Pt 2.069 -1.377 4.422
Pt 2.069 1.377 1.843
Pt 2.069 -1.377 8.107
Pt 0.000 0.000 6.264
Pt 1.377 4.824 -1.843
Pt 1.377 2.069 4.422
Pt 1.377 4.824 1.843
Pt 1.377 2.069 8.107
```

Main lines, sorted by position (2θ from 10° to 90°):
2theta  I/Imax
25.9  12
36.2  95
36.9  54
38.9  100
41.4  32
43.3  16
48.1  14
51.1  15
55.4  17
59.6  31
67.8  13
78.2  16

Simulated powder diffractogram of Mn5Pd6Pt for Cu Kα (λ = 1.5418 Å), from the PBE geometry in Alexandria.
Intensities are scaled so that the largest is 100.

Structure:
```
12
Lattice="-2.058 3.605 6.139 2.058 -3.605 6.139 2.058 3.605 -6.139" Properties=species:S:1:pos:R:3 pbc="T T T"
Mn 0.000 0.000 0.000
Mn 2.058 0.000 2.168
Mn 0.000 0.000 4.304
Mn 0.000 0.000 7.975
Mn 0.000 3.605 3.972
Pd 2.058 -1.897 4.071
Pd 2.058 1.621 0.000
Pd 0.000 1.708 2.068
Pd 2.058 1.897 4.071
Pd 0.000 1.984 6.139
Pd 0.000 5.501 2.068
Pt 0.000 3.605 0.000
```

Main lines, sorted by position (2θ from 10° to 90°):
2theta  I/Imax
38.7  6
39.9  100
44.0  20
44.3  18
50.6  11
64.2  12
69.3  9
69.5  8
78.1  13
78.5  12
86.0  9
88.0  8

Simulated powder diffractogram of Mn2Pd3Pt4 for Cu Kα (λ = 1.5418 Å), from the PBE geometry in Alexandria.
Intensities are scaled so that the largest is 100.

Structure:
```
9
Lattice="4.386 -1.985 0.000 4.386 1.985 0.000 -2.657 0.000 7.872" Properties=species:S:1:pos:R:3 pbc="T T T"
Mn 0.868 0.000 1.727
Mn 5.246 0.000 6.145
Pd 0.001 0.000 4.343
Pd 4.386 0.000 0.000
Pd 6.113 0.000 3.529
Pt -0.903 0.000 7.008
Pt 3.466 0.000 2.603
Pt 2.648 0.000 5.269
Pt 7.017 0.000 0.864
```

Main lines, sorted by position (2θ from 10° to 90°):
2theta  I/Imax
20.7  9
39.7  100
45.7  17
46.3  16
46.5  16
67.1  11
67.2  10
67.7  10
80.4  13
81.2  12
81.5  12
85.5  11

Simulated powder diffractogram of ScMnPdPt for Cu Kα (λ = 1.5418 Å), from the PBE geometry in Alexandria.
Intensities are scaled so that the largest is 100.

Structure:
```
4
Lattice="3.742 0.000 0.000 0.000 4.138 0.000 0.000 0.000 4.151" Properties=species:S:1:pos:R:3 pbc="T T T"
Sc 0.000 0.000 0.000
Mn 0.000 2.069 2.075
Pd 1.871 2.069 0.000
Pt 1.871 0.000 2.075
```

Main lines, sorted by position (2θ from 10° to 90°):
2theta  I/Imax
23.8  22
30.5  24
39.0  100
43.6  18
43.8  18
48.7  13
63.5  12
67.4  10
77.0  13
77.2  13
83.9  11
84.4  10

Simulated powder diffractogram of Pu2MnPd3 for Cu Kα (λ = 1.5418 Å), from the PBE geometry in Alexandria.
Intensities are scaled so that the largest is 100.

Structure:
```
6
Lattice="2.808 1.621 4.183 -2.808 1.621 4.183 0.000 -3.243 4.183" Properties=species:S:1:pos:R:3 pbc="T T T"
Pu 0.000 0.000 1.528
Pu 0.000 0.000 11.020
Mn 0.000 0.000 6.274
Pd -1.404 -0.811 4.183
Pd -1.404 0.811 8.365
Pd 0.000 1.621 4.183
```

Main lines, sorted by position (2θ from 10° to 90°):
2theta  I/Imax
19.6  33
31.9  64
34.0  84
37.7  87
38.6  100
39.7  33
40.4  54
58.2  38
61.3  26
62.6  30
66.6  32
71.6  26